Structure and calculated X-ray powder pattern of YMg6TiO8 (a GGA-PBE-relaxed structure; a wavelength of 1.5418 Å).
Neutral-atom scattering factors, no anomalous dispersion.

Cell and atoms:
abc: 4.4095 4.4095 8.8277
angles: 90.00 90.00 90.00
Positions (direct):
Y  0.0000  0.0000  0.0000
Mg  0.0000  0.0000  0.5000
Mg  0.0000  0.5000  0.2625
Mg  0.0000  0.5000  0.7375
Mg  0.5000  0.0000  0.2625
Mg  0.5000  0.0000  0.7375
Mg  0.5000  0.5000  0.5000
Ti  0.5000  0.5000  0.0000
O  0.0000  0.0000  0.2643
O  0.0000  0.0000  0.7357
O  0.0000  0.5000  0.0000
O  0.0000  0.5000  0.5000
O  0.5000  0.0000  0.0000
O  0.5000  0.0000  0.5000
O  0.5000  0.5000  0.2603
O  0.5000  0.5000  0.7397

Largest 6 diffraction maxima, by angle, 10 to 80 degrees two-theta:
d 8.828, 2θ 10.02, I 31
d 2.941, 2θ 30.39, I 21
d 2.547, 2θ 35.24, I 30
d 2.205, 2θ 40.92, I 100
d 1.560, 2θ 59.25, I 58
d 1.273, 2θ 74.52, I 17